[1]
For Ac8In2Co, a crystal structure in Alexandria, relaxed with GGA-PBE gives the calculated X-ray diffraction stick pattern in this record (Cu Ka).
Peak positions follow from Bragg's law for the DFT cell and can differ from measured ones.

Largest 8 diffraction maxima, in order of rising 2θ, 2θ from 10° to 80°:
two_theta  d (Å)  intensity
24.64  3.612  16
27.76  3.213  100
28.52  3.129  82
28.95  3.084  25
29.54  3.024  32
34.26  2.618  39
45.85  1.979  20
51.37  1.779  14

Crystal structure
Unit cell a=10.5310 b=10.5310 c=7.8760 alpha=93.35 beta=93.35 gamma=28.79
Sites, in units of the cell vectors:
Ac1 0.0022 0.0022 0.2746
Ac2 0.2169 0.2169 0.8088
Ac3 0.3677 0.3677 0.4901
Ac4 0.4034 0.4034 0.9941
Ac5 0.5966 0.5966 0.0059
Ac6 0.6323 0.6323 0.5099
Ac7 0.7831 0.7831 0.1912
Ac8 0.9978 0.9978 0.7254
In1 0.1808 0.1808 0.2569
In2 0.8192 0.8192 0.7431
Co1 0.5000 0.5000 0.5000

***

[2]
For Ac11In9Co4, a crystal structure in Alexandria, relaxed with GGA-PBE gives the calculated X-ray diffraction stick pattern in this record (Cu Ka).
Peak positions follow from Bragg's law for the DFT cell and can differ from measured ones.

Largest 8 diffraction maxima, in order of rising 2θ, 2θ from 10° to 80°:
two_theta  d (Å)  intensity
22.96  3.874  19
25.79  3.454  13
32.13  2.786  100
32.70  2.739  32
34.25  2.618  22
35.57  2.524  13
45.23  2.005  17
56.92  1.618  14

Crystal structure
Unit cell a=13.9578 b=13.9578 c=4.0100 alpha=90.00 beta=90.00 gamma=112.47
Sites, in units of the cell vectors:
Ac1 0.0000 0.0000 0.0000
Ac2 0.0818 0.4184 0.0000
Ac3 0.1637 0.8363 0.0000
Ac4 0.3154 0.3154 0.0000
Ac5 0.3766 0.6234 0.0000
Ac6 0.4184 0.0818 0.0000
Ac7 0.5816 0.9182 0.0000
Ac8 0.6234 0.3766 0.0000
Ac9 0.6846 0.6846 0.0000
Ac10 0.8363 0.1637 0.0000
Ac11 0.9182 0.5816 0.0000
In1 0.0858 0.2222 0.5000
In2 0.1672 0.6331 0.5000
In3 0.2222 0.0858 0.5000
In4 0.3669 0.8328 0.5000
In5 0.5000 0.5000 0.5000
In6 0.6331 0.1672 0.5000
In7 0.7778 0.9142 0.5000
In8 0.8328 0.3669 0.5000
In9 0.9142 0.7778 0.5000
Co1 0.2381 0.4421 0.5000
Co2 0.4421 0.2381 0.5000
Co3 0.5579 0.7619 0.5000
Co4 0.7619 0.5579 0.5000